Starting from a cell relaxed with PBE, the powder X-ray diffraction pattern of Ta2Te5Pd3 was calculated for Cu Kα X-rays.
Lines closer than 0.1° are merged.

Principal peaks in the range 5 to 70 degrees two-theta, sorted by position:
| 2theta | Rel. int. |
| --- | --- |
| 11.69 | 1000 |
| 26.42 | 159 |
| 26.56 | 82 |
| 30.13 | 205 |
| 33.03 | 219 |
| 35.83 | 143 |
| 36.67 | 208 |
| 38.69 | 90 |
| 40.94 | 140 |
| 41.55 | 152 |
| 43.13 | 142 |
| 48.64 | 145 |

Structural model:
```
Ta2Te5Pd3
1.0
15.137 0.000 0.000
0.000 3.744 0.000
0.000 0.000 18.842
Ta Te Pd
8 20 12
direct
0.245 0.250 0.168
0.249 0.750 0.416
0.251 0.250 0.916
0.255 0.750 0.668
0.745 0.250 0.332
0.749 0.750 0.084
0.751 0.250 0.584
0.755 0.750 0.832
0.109 0.250 0.439
0.114 0.250 0.647
0.115 0.750 0.219
0.122 0.750 0.862
0.144 0.250 0.040
0.356 0.750 0.540
0.378 0.250 0.362
0.385 0.250 0.719
0.386 0.750 0.147
0.391 0.750 0.939
0.609 0.250 0.061
0.614 0.250 0.853
0.615 0.750 0.281
0.622 0.750 0.638
0.644 0.250 0.460
0.856 0.750 0.960
0.878 0.250 0.138
0.885 0.250 0.781
0.886 0.750 0.353
0.891 0.750 0.561
0.184 0.250 0.310
0.195 0.250 0.773
0.230 0.250 0.541
0.270 0.750 0.041
0.305 0.750 0.273
0.316 0.750 0.810
0.684 0.250 0.190
0.695 0.250 0.727
0.730 0.250 0.959
0.770 0.750 0.459
0.805 0.750 0.227
0.816 0.750 0.690
```


Starting from a cell relaxed with PBE, the powder X-ray diffraction pattern of TbPd3 was calculated for Cu Kα X-rays.
Lines closer than 0.1° are merged.

Principal peaks in the range 5 to 70 degrees two-theta, sorted by position:
| 2theta | Rel. int. |
| --- | --- |
| 21.47 | 31 |
| 30.54 | 27 |
| 37.64 | 1000 |
| 43.74 | 489 |
| 49.23 | 15 |
| 54.29 | 12 |
| 63.58 | 317 |
| 67.94 | 8 |

Structural model:
```
TbPd3
1.0
4.139 0.000 0.000
0.000 4.139 0.000
0.000 0.000 4.139
Tb Pd
1 3
direct
0.000 0.000 0.000
0.000 0.500 0.500
0.500 0.000 0.500
0.500 0.500 0.000
```


Starting from a cell relaxed with PBE, the powder X-ray diffraction pattern of Tb3Pd4 was calculated for Cu Kα X-rays.
Lines closer than 0.1° are merged.

Principal peaks in the range 5 to 70 degrees two-theta, sorted by position:
| 2theta | Rel. int. |
| --- | --- |
| 32.03 | 345 |
| 32.13 | 139 |
| 34.88 | 170 |
| 35.67 | 1000 |
| 37.50 | 855 |
| 42.30 | 171 |
| 46.65 | 171 |
| 50.72 | 132 |
| 52.73 | 167 |
| 54.62 | 84 |
| 65.27 | 209 |
| 66.92 | 91 |

Structural model:
```
Tb3Pd4
1.0
6.659 3.844 1.914
-6.659 3.844 1.914
0.000 -7.689 1.914
Tb Pd
6 8
direct
0.026 0.403 0.280
0.280 0.026 0.403
0.403 0.280 0.026
0.597 0.720 0.974
0.720 0.974 0.597
0.974 0.597 0.720
0.000 0.000 0.000
0.061 0.225 0.552
0.225 0.552 0.061
0.448 0.939 0.775
0.500 0.500 0.500
0.552 0.061 0.225
0.775 0.448 0.939
0.939 0.775 0.448
```


Starting from a cell relaxed with PBE, the powder X-ray diffraction pattern of Te5Pd21 was calculated for Cu Kα X-rays.
Lines closer than 0.1° are merged.

Principal peaks in the range 5 to 70 degrees two-theta, sorted by position:
| 2theta | Rel. int. |
| --- | --- |
| 19.99 | 31 |
| 23.49 | 180 |
| 24.55 | 43 |
| 31.03 | 8 |
| 34.99 | 16 |
| 37.19 | 65 |
| 40.63 | 1000 |
| 47.46 | 27 |
| 48.05 | 19 |
| 56.25 | 52 |
| 58.81 | 165 |
| 64.21 | 24 |

Structural model:
```
Te5Pd21
1.0
0.000 6.281 6.281
6.281 0.000 6.281
6.281 6.281 0.000
Te Pd
5 21
direct
0.000 0.000 0.000
0.126 0.625 0.625
0.625 0.126 0.625
0.625 0.625 0.126
0.625 0.625 0.625
0.002 0.002 0.498
0.002 0.498 0.002
0.002 0.498 0.498
0.250 0.250 0.250
0.251 0.251 0.749
0.251 0.749 0.251
0.251 0.749 0.749
0.361 0.880 0.880
0.374 0.374 0.374
0.374 0.374 0.877
0.374 0.877 0.374
0.498 0.002 0.002
0.498 0.002 0.498
0.498 0.498 0.002
0.749 0.251 0.251
0.749 0.251 0.749
0.749 0.749 0.251
0.877 0.374 0.374
0.880 0.361 0.880
0.880 0.880 0.361
0.880 0.880 0.880
```


Starting from a cell relaxed with PBE, the powder X-ray diffraction pattern of Te3Pd10 was calculated for Cu Kα X-rays.
Lines closer than 0.1° are merged.

Principal peaks in the range 5 to 70 degrees two-theta, sorted by position:
| 2theta | Rel. int. |
| --- | --- |
| 19.85 | 23 |
| 23.32 | 226 |
| 24.38 | 40 |
| 30.81 | 7 |
| 34.74 | 15 |
| 36.92 | 71 |
| 40.33 | 1000 |
| 47.11 | 33 |
| 47.69 | 14 |
| 55.83 | 114 |
| 58.36 | 159 |
| 63.71 | 28 |

Structural model:
```
Te3Pd10
1.0
0.000 6.325 6.325
6.325 0.000 6.325
6.325 6.325 0.000
Te Pd
6 20
direct
0.000 0.000 0.000
0.000 0.000 0.500
0.000 0.500 0.000
0.375 0.375 0.375
0.500 0.000 0.000
0.625 0.625 0.625
0.117 0.117 0.633
0.117 0.633 0.117
0.117 0.633 0.633
0.259 0.259 0.259
0.259 0.259 0.723
0.259 0.723 0.259
0.277 0.741 0.741
0.367 0.367 0.883
0.367 0.883 0.367
0.367 0.883 0.883
0.633 0.117 0.117
0.633 0.117 0.633
0.633 0.633 0.117
0.723 0.259 0.259
0.741 0.277 0.741
0.741 0.741 0.277
0.741 0.741 0.741
0.883 0.367 0.367
0.883 0.367 0.883
0.883 0.883 0.367
```


Starting from a cell relaxed with PBE, the powder X-ray diffraction pattern of Te2Pd was calculated for Cu Kα X-rays.
Lines closer than 0.1° are merged.

Principal peaks in the range 5 to 70 degrees two-theta, sorted by position:
| 2theta | Rel. int. |
| --- | --- |
| 17.15 | 91 |
| 30.46 | 1000 |
| 34.70 | 36 |
| 43.23 | 345 |
| 44.00 | 383 |
| 47.55 | 37 |
| 53.14 | 16 |
| 54.45 | 191 |
| 57.21 | 51 |
| 59.58 | 120 |
| 63.38 | 109 |

Structural model:
```
Te2Pd
1.0
4.116 0.000 0.000
-2.058 3.565 0.000
0.000 0.000 5.171
Te Pd
2 1
direct
0.333 0.667 0.263
0.667 0.333 0.737
0.000 0.000 0.000
```


Starting from a cell relaxed with PBE, the powder X-ray diffraction pattern of TePd4 was calculated for Cu Kα X-rays.
Lines closer than 0.1° are merged.

Principal peaks in the range 5 to 70 degrees two-theta, sorted by position:
| 2theta | Rel. int. |
| --- | --- |
| 23.59 | 322 |
| 31.17 | 70 |
| 35.15 | 103 |
| 37.36 | 146 |
| 40.81 | 1000 |
| 42.77 | 95 |
| 43.41 | 46 |
| 45.89 | 67 |
| 52.23 | 66 |
| 56.51 | 129 |
| 59.09 | 113 |
| 64.52 | 73 |

Structural model:
```
TePd4
1.0
0.000 6.254 6.254
6.254 0.000 6.254
6.254 6.254 0.000
Te Pd
5 20
direct
0.000 0.000 0.000
0.378 0.378 0.378
0.378 0.378 0.866
0.378 0.866 0.378
0.866 0.378 0.378
0.012 0.012 0.488
0.012 0.488 0.012
0.012 0.488 0.488
0.116 0.116 0.116
0.116 0.116 0.652
0.116 0.652 0.116
0.260 0.260 0.740
0.260 0.740 0.260
0.260 0.740 0.740
0.488 0.012 0.012
0.488 0.012 0.488
0.488 0.488 0.012
0.652 0.116 0.116
0.670 0.670 0.670
0.670 0.670 0.990
0.670 0.990 0.670
0.740 0.260 0.260
0.740 0.260 0.740
0.740 0.740 0.260
0.990 0.670 0.670
```


Starting from a cell relaxed with PBE, the powder X-ray diffraction pattern of Y6Te2Pd was calculated for Cu Kα X-rays.
Lines closer than 0.1° are merged.

Principal peaks in the range 5 to 70 degrees two-theta, sorted by position:
| 2theta | Rel. int. |
| --- | --- |
| 29.66 | 417 |
| 31.07 | 1000 |
| 32.12 | 846 |
| 32.56 | 232 |
| 33.22 | 291 |
| 33.50 | 220 |
| 33.94 | 546 |
| 34.48 | 415 |
| 36.61 | 280 |
| 37.28 | 233 |
| 44.99 | 432 |
| 46.45 | 198 |

Structural model:
```
Y6Te2Pd
1.0
22.001 0.000 0.000
0.000 4.030 0.000
0.000 0.000 11.535
Y Te Pd
24 8 4
direct
0.012 0.250 0.114
0.025 0.750 0.379
0.109 0.250 0.826
0.146 0.750 0.076
0.154 0.250 0.541
0.234 0.750 0.754
0.266 0.250 0.254
0.346 0.750 0.041
0.354 0.250 0.576
0.391 0.750 0.326
0.475 0.250 0.879
0.488 0.750 0.614
0.512 0.250 0.386
0.525 0.750 0.121
0.609 0.250 0.674
0.646 0.750 0.424
0.654 0.250 0.959
0.734 0.750 0.746
0.766 0.250 0.246
0.846 0.750 0.459
0.854 0.250 0.924
0.891 0.750 0.174
0.975 0.250 0.621
0.988 0.750 0.886
0.127 0.250 0.278
0.239 0.250 0.969
0.261 0.750 0.469
0.373 0.750 0.778
0.627 0.250 0.222
0.739 0.250 0.531
0.761 0.750 0.031
0.873 0.750 0.722
0.073 0.750 0.646
0.427 0.250 0.146
0.573 0.750 0.854
0.927 0.250 0.354
```


Starting from a cell relaxed with PBE, the powder X-ray diffraction pattern of Th3Pd4 was calculated for Cu Kα X-rays.
Lines closer than 0.1° are merged.

Principal peaks in the range 5 to 70 degrees two-theta, sorted by position:
| 2theta | Rel. int. |
| --- | --- |
| 24.87 | 293 |
| 30.95 | 498 |
| 31.53 | 190 |
| 34.28 | 1000 |
| 36.10 | 136 |
| 36.61 | 660 |
| 41.14 | 162 |
| 48.77 | 161 |
| 51.02 | 163 |
| 54.04 | 144 |
| 62.58 | 118 |
| 64.20 | 193 |

Structural model:
```
Th3Pd4
1.0
6.920 3.995 1.947
-6.920 3.995 1.947
0.000 -7.991 1.947
Th Pd
6 8
direct
0.030 0.279 0.408
0.279 0.408 0.030
0.408 0.030 0.279
0.592 0.970 0.721
0.721 0.592 0.970
0.970 0.721 0.592
0.000 0.000 0.000
0.060 0.560 0.226
0.226 0.060 0.560
0.440 0.774 0.940
0.500 0.500 0.500
0.560 0.226 0.060
0.774 0.940 0.440
0.940 0.440 0.774
```


Starting from a cell relaxed with PBE, the powder X-ray diffraction pattern of Th2Pd was calculated for Cu Kα X-rays.
Lines closer than 0.1° are merged.

Principal peaks in the range 5 to 70 degrees two-theta, sorted by position:
| 2theta | Rel. int. |
| --- | --- |
| 30.01 | 134 |
| 31.08 | 1000 |
| 34.52 | 64 |
| 34.73 | 175 |
| 38.75 | 283 |
| 38.94 | 225 |
| 52.86 | 57 |
| 53.68 | 177 |
| 53.97 | 220 |
| 59.09 | 102 |
| 61.99 | 189 |
| 62.38 | 47 |

Structural model:
```
Th2Pd
1.0
-3.674 3.674 2.977
3.674 -3.674 2.977
3.674 3.674 -2.977
Th Pd
4 2
direct
0.162 0.662 0.823
0.338 0.162 0.500
0.662 0.838 0.500
0.838 0.338 0.177
0.250 0.250 0.000
0.750 0.750 0.000
```


Starting from a cell relaxed with PBE, the powder X-ray diffraction pattern of ThPd3 was calculated for Cu Kα X-rays.
Lines closer than 0.1° are merged.

Principal peaks in the range 5 to 70 degrees two-theta, sorted by position:
| 2theta | Rel. int. |
| --- | --- |
| 19.47 | 66 |
| 24.91 | 167 |
| 30.19 | 80 |
| 35.00 | 78 |
| 36.02 | 384 |
| 36.18 | 423 |
| 39.53 | 1000 |
| 44.64 | 235 |
| 51.10 | 54 |
| 58.64 | 104 |
| 62.79 | 225 |
| 67.11 | 209 |

Structural model:
```
ThPd3
1.0
5.920 0.000 0.000
-2.960 5.127 0.000
0.000 0.000 9.975
Th Pd
4 12
direct
0.000 0.000 0.000
0.000 0.000 0.500
0.333 0.667 0.250
0.667 0.333 0.750
0.000 0.500 0.000
0.000 0.500 0.500
0.173 0.347 0.750
0.173 0.827 0.750
0.347 0.173 0.250
0.500 0.000 0.000
0.500 0.000 0.500
0.500 0.500 0.000
0.500 0.500 0.500
0.653 0.827 0.750
0.827 0.173 0.250
0.827 0.653 0.250
```